TaNiSbPd: calculated X-ray powder pattern (Cu Kα (λ = 1.5418 Å)), based on a cell relaxed with PBE.

Structure:
```
data_TaNiSbPd
_chemical_formula_sum 'Ta4 Ni4 Sb4 Pd4'
_cell_length_a 6.425
_cell_length_b 6.425
_cell_length_c 6.425
_cell_angle_alpha 90.00
_cell_angle_beta 90.00
_cell_angle_gamma 90.00
_symmetry_space_group_name_H-M 'F -4 3 m'
_symmetry_Int_Tables_number 216
_symmetry_space_group_name_Hall 'F -4 2 3'
loop_
_atom_site_label
_atom_site_fract_x
_atom_site_fract_y
_atom_site_fract_z
Ta1 0.000 0.000 0.000
Ni1 0.000 0.000 0.500
Sb1 0.250 0.250 0.250
Pd1 0.250 0.250 0.750
```

Principal peaks in the range 10° ≤ 2θ ≤ 90°, most intense first:
2theta  I/Imax  index
39.7  1000  2 2 0
72.0  336  4 2 2
57.4  168  4 0 0
24.0  139  1 1 1
85.5  108  4 4 0
46.9  74  3 1 1
63.1  32  3 3 1
77.1  25  5 1 1